The following is a theoretical X-ray diffraction stick pattern of EuMnBi2. It was derived from DFT lattice parameters and positions (GGA-PBE), using Cu Kα X-rays.
Peak positions follow from Bragg's law for the DFT cell and can differ from measured ones.

Structure:
```
EuMnBi2
1.0
-2.318 2.318 10.771
2.318 -2.318 10.771
2.318 2.318 -10.771
Eu Mn Bi
2 2 4
Cartesian
0.000 0.000 2.555 Eu
0.000 0.000 18.987 Eu
2.318 0.000 5.386 Mn
0.000 2.318 5.386 Mn
2.318 0.000 0.000 Bi
0.000 0.000 7.073 Bi
0.000 2.318 0.000 Bi
0.000 0.000 14.469 Bi
```

Principal peaks in the range 2θ from 5° to 70°, in order of rising 2θ:
2θ 24.80, I = 19; 2θ 28.28, I = 37; 2θ 28.46, I = 35; 2θ 31.96, I = 100; 2θ 38.85, I = 47; 2θ 42.50, I = 22; 2θ 48.74, I = 17; 2θ 56.11, I = 16; 2θ 58.93, I = 17; 2θ 66.04, I = 25

---

The following is a theoretical X-ray diffraction stick pattern of NaCaScS3O12. It was derived from DFT lattice parameters and positions (GGA-PBE), using Cu Kα X-rays.
Peak positions follow from Bragg's law for the DFT cell and can differ from measured ones.

Structure:
```
NaCaScS3O12
1.0
4.486 2.590 7.947
-4.486 2.590 7.947
0.000 -5.180 7.947
Na Ca Sc S O
2 2 2 6 24
Cartesian
0.000 0.000 0.000 Na
0.000 0.000 11.921 Na
0.000 0.000 8.397 Ca
0.000 0.000 20.318 Ca
0.000 0.000 3.609 Sc
0.000 0.000 15.530 Sc
-3.222 -0.261 9.962 S
-1.264 -2.851 13.936 S
1.837 -2.660 9.962 S
-1.837 2.520 13.936 S
1.385 2.921 9.962 S
3.101 0.330 13.936 S
-3.481 -1.037 11.165 O
-3.890 1.085 10.077 O
-0.842 -1.647 7.191 O
-2.715 -2.660 13.788 O
-1.771 -0.070 9.815 O
-0.702 -3.544 12.719 O
1.005 -3.912 10.077 O
-1.005 1.553 7.191 O
-2.718 2.380 12.719 O
0.946 -1.499 9.815 O
-0.596 -1.505 14.051 O
-1.768 -0.210 16.693 O
1.847 0.094 7.191 O
-1.005 1.269 14.051 O
2.639 -2.496 11.165 O
0.825 1.569 9.815 O
-0.946 3.681 13.788 O
1.066 -1.426 16.693 O
1.601 0.236 14.051 O
0.842 3.533 11.165 O
0.702 1.636 16.693 O
3.661 -1.021 13.788 O
2.885 2.826 10.077 O
3.420 1.164 12.719 O
```

Principal peaks in the range 2θ from 5° to 70°, in order of rising 2θ:
2θ 13.60, I = 11; 2θ 18.76, I = 9; 2θ 19.79, I = 10; 2θ 22.76, I = 100; 2θ 27.40, I = 12; 2θ 30.04, I = 40; 2θ 30.67, I = 10; 2θ 34.63, I = 15; 2θ 46.49, I = 15; 2θ 54.09, I = 10

---

The following is a theoretical X-ray diffraction stick pattern of Rb3Sr. It was derived from DFT lattice parameters and positions (GGA-PBE), using Cu Kα X-rays.
Peak positions follow from Bragg's law for the DFT cell and can differ from measured ones.

Structure:
```
Rb3Sr
1.0
-3.412 3.412 6.932
3.412 -3.412 6.932
3.412 3.412 -6.932
Rb Sr
3 1
Cartesian
0.000 0.000 0.000 Rb
3.412 0.000 3.466 Rb
0.000 3.412 3.466 Rb
0.000 0.000 6.932 Sr
```

Principal peaks in the range 2θ from 5° to 70°, in order of rising 2θ:
2θ 22.45, I = 100; 2θ 25.70, I = 18; 2θ 26.12, I = 34; 2θ 36.97, I = 27; 2θ 37.27, I = 13; 2θ 43.42, I = 17; 2θ 43.95, I = 33; 2θ 45.83, I = 15; 2θ 58.53, I = 14; 2θ 67.01, I = 9

---

The following is a theoretical X-ray diffraction stick pattern of PaTlO3. It was derived from DFT lattice parameters and positions (GGA-PBE), using Cu Kα X-rays.
Peak positions follow from Bragg's law for the DFT cell and can differ from measured ones.

Structure:
```
PaTlO3
1.0
4.406 0.000 0.000
0.000 4.406 0.000
0.000 0.000 4.406
Pa Tl O
1 1 3
Cartesian
0.000 0.000 0.000 Pa
2.203 2.203 2.203 Tl
0.000 0.000 2.203 O
0.000 2.203 0.000 O
2.203 0.000 0.000 O
```

Principal peaks in the range 2θ from 5° to 70°, in order of rising 2θ:
2θ 20.16, I = 1; 2θ 28.66, I = 100; 2θ 40.97, I = 26; 2θ 46.07, I = 1; 2θ 50.76, I = 43; 2θ 59.33, I = 17; 2θ 67.20, I = 19

---

The following is a theoretical X-ray diffraction stick pattern of MgH2SeO5. It was derived from DFT lattice parameters and positions (GGA-PBE), using Cu Kα X-rays.
Peak positions follow from Bragg's law for the DFT cell and can differ from measured ones.

Structure:
```
MgH2SeO5
1.0
3.520 -4.121 0.000
3.520 4.121 0.000
-3.432 0.000 6.985
Mg H Se O
2 4 2 10
Cartesian
1.760 2.060 0.000 Mg
0.044 -2.060 3.493 Mg
-1.835 0.415 4.918 H
-0.119 -0.415 1.426 H
3.726 0.415 5.559 H
5.442 -0.415 2.067 H
0.946 0.697 5.239 Se
2.662 -0.697 1.746 Se
2.662 3.109 1.746 O
1.472 0.270 1.054 O
0.238 1.641 6.404 O
-0.243 -0.270 4.547 O
1.653 1.641 4.074 O
1.954 -1.641 2.911 O
3.851 0.270 2.439 O
3.369 -1.641 0.582 O
2.135 -0.270 5.931 O
0.946 -3.109 5.239 O
```

Principal peaks in the range 2θ from 5° to 70°, in order of rising 2θ:
2θ 17.69, I = 100; 2θ 25.09, I = 67; 2θ 25.23, I = 49; 2θ 25.48, I = 74; 2θ 28.25, I = 18; 2θ 28.54, I = 32; 2θ 33.49, I = 39; 2θ 33.64, I = 32; 2θ 42.35, I = 26; 2θ 58.41, I = 20